For Li4NbCr5O12, a DFT-relaxed cell (PBE+U, the Materials Project) gives the calculated PXRD pattern in this record (Cu Kα).
No peak broadening, texture or thermal motion is included.

Atomic structure:
a = 5.217 Å, b = 9.044 Å, c = 10.465 Å
α = 90.00°, β = 96.58°, γ = 90.00°
Space group C2/m (No. 12)
Asymmetric unit:
Li 0.212 0.169 0.209 x8
Nb 0.000 0.500 0.500 x2
Cr 0.000 0.000 0.000 x2
Cr 0.000 0.166 0.500 x4
Cr 0.000 0.338 0.000 x4
O 0.137 0.172 0.896 x8
O 0.154 0.500 0.895 x4
O 0.190 0.000 0.597 x4
O 0.190 0.333 0.601 x8

Most intense lines, 15 to 90 degrees two-theta, by angle:
2θ 17.06, rel. 100; 2θ 34.63, rel. 7; 2θ 35.02, rel. 13; 2θ 36.01, rel. 17; 2θ 36.95, rel. 9; 2θ 40.65, rel. 9; 2θ 42.17, rel. 18; 2θ 44.70, rel. 15; 2θ 46.57, rel. 7; 2θ 54.88, rel. 9; 2θ 58.35, rel. 8; 2θ 61.64, rel. 10



For MgNbV3O8, a DFT-relaxed cell (PBE+U, the Materials Project) gives the calculated PXRD pattern in this record (Cu Kα).
No peak broadening, texture or thermal motion is included.

Atomic structure:
a = 4.001 Å, b = 6.635 Å, c = 6.774 Å
α = 105.99°, β = 90.01°, γ = 107.40°
Space group P1 (No. 1)
Asymmetric unit:
Mg 0.000 0.000 0.000 x1
Nb 0.829 0.653 0.302 x1
V 0.422 0.842 0.707 x1
V 0.532 0.063 0.343 x1
V 0.736 0.464 0.709 x1
O 0.271 0.536 0.715 x1
O 0.368 0.732 0.368 x1
O 0.502 0.005 0.011 x1
O 0.572 0.140 0.639 x1
O 0.700 0.393 0.385 x1
O 0.774 0.541 0.027 x1
O 0.902 0.801 0.700 x1
O 0.996 0.990 0.295 x1

Most intense lines, 15 to 90 degrees two-theta, by angle:
2θ 23.42, rel. 100; 2θ 27.18, rel. 27; 2θ 27.50, rel. 46; 2θ 28.28, rel. 57; 2θ 28.68, rel. 57; 2θ 31.46, rel. 21; 2θ 31.69, rel. 23; 2θ 37.60, rel. 22; 2θ 41.78, rel. 49; 2θ 42.86, rel. 38; 2θ 45.34, rel. 54; 2θ 63.34, rel. 24



For ZnNi2O4, a DFT-relaxed cell (PBE+U, the Materials Project) gives the calculated PXRD pattern in this record (Cu Kα).
No peak broadening, texture or thermal motion is included.

Atomic structure:
a = 8.740 Å, b = 2.886 Å, c = 10.300 Å
α = 90.00°, β = 90.00°, γ = 90.00°
Space group Pnma (No. 62)
Asymmetric unit:
Zn 0.246 0.250 0.160 x4
Ni 0.061 0.250 0.384 x4
Ni 0.086 0.250 0.900 x4
O 0.027 0.750 0.789 x4
O 0.096 0.250 0.574 x4
O 0.119 0.750 0.032 x4
O 0.212 0.750 0.325 x4

Most intense lines, 15 to 90 degrees two-theta, by angle:
2θ 34.84, rel. 46; 2θ 35.40, rel. 100; 2θ 37.17, rel. 60; 2θ 37.34, rel. 28; 2θ 42.20, rel. 39; 2θ 45.08, rel. 26; 2θ 51.97, rel. 47; 2θ 52.53, rel. 17; 2θ 53.34, rel. 19; 2θ 63.95, rel. 23; 2θ 64.59, rel. 36; 2θ 75.87, rel. 20



For Gd2CrSbO7, a DFT-relaxed cell (PBE+U, the Materials Project) gives the calculated PXRD pattern in this record (Cu Kα).
No peak broadening, texture or thermal motion is included.

Atomic structure:
a = 7.327 Å, b = 7.385 Å, c = 10.353 Å
α = 90.00°, β = 90.00°, γ = 90.00°
Space group Imma (No. 74)
Asymmetric unit:
Gd 0.000 0.000 0.000 x4
Gd 0.250 0.250 0.250 x4
Cr 0.250 0.250 0.750 x4
Sb 0.000 0.000 0.500 x4
O 0.000 0.250 0.128 x4
O 0.000 0.250 0.420 x4
O 0.000 0.250 0.838 x4
O 0.203 0.039 0.625 x16

Most intense lines, 15 to 90 degrees two-theta, by angle:
2θ 29.72, rel. 100; 2θ 29.88, rel. 100; 2θ 34.49, rel. 43; 2θ 34.66, rel. 21; 2θ 49.36, rel. 16; 2θ 49.71, rel. 78; 2θ 58.78, rel. 29; 2θ 59.07, rel. 42; 2θ 59.19, rel. 14; 2θ 80.59, rel. 11; 2θ 80.84, rel. 17; 2θ 83.40, rel. 14



For CoH10SeO9, a DFT-relaxed cell (PBE+U, the Materials Project) gives the calculated PXRD pattern in this record (Cu Kα).
No peak broadening, texture or thermal motion is included.

Atomic structure:
a = 6.171 Å, b = 6.437 Å, c = 10.907 Å
α = 75.35°, β = 81.29°, γ = 70.87°
Space group P-1 (No. 2)
Asymmetric unit:
Co 0.000 0.000 0.000 x1
Co 0.000 0.500 0.500 x1
H 0.088 0.163 0.704 x2
H 0.102 0.306 0.094 x2
H 0.173 0.634 0.890 x2
H 0.232 0.781 0.513 x2
H 0.251 0.944 0.308 x2
H 0.254 0.598 0.647 x2
H 0.292 0.118 0.373 x2
H 0.334 0.141 0.628 x2
H 0.352 0.165 0.859 x2
H 0.451 0.893 0.899 x2
Se 0.348 0.527 0.211 x2
O 0.030 0.742 0.918 x2
O 0.160 0.673 0.573 x2
O 0.164 0.790 0.175 x2
O 0.167 0.186 0.618 x2
O 0.282 0.409 0.362 x2
O 0.314 0.026 0.904 x2
O 0.338 0.369 0.113 x2
O 0.339 0.955 0.373 x2
O 0.384 0.455 0.798 x2

Most intense lines, 15 to 90 degrees two-theta, by angle:
2θ 15.46, rel. 23; 2θ 16.86, rel. 36; 2θ 17.76, rel. 100; 2θ 19.97, rel. 20; 2θ 21.92, rel. 24; 2θ 23.64, rel. 49; 2θ 26.59, rel. 50; 2θ 28.59, rel. 17; 2θ 29.82, rel. 28; 2θ 30.11, rel. 21; 2θ 32.35, rel. 33; 2θ 32.59, rel. 28



For AlMoO3, a DFT-relaxed cell (PBE+U, the Materials Project) gives the calculated PXRD pattern in this record (Cu Kα).
No peak broadening, texture or thermal motion is included.

Atomic structure:
a = 3.2631 Å, b = 3.2631 Å, c = 12.4036 Å
α = 90.00°, β = 90.00°, γ = 120.00°
Space group P6_3/mmc (No. 194)
Asymmetric unit:
Al 0.0000 0.0000 0.0000 x2
Mo 0.3333 0.6667 0.2500 x2
O 0.0000 0.0000 0.2500 x2
O 0.3333 0.6667 0.0715 x4

Most intense lines, 15 to 90 degrees two-theta, by angle:
2θ 28.79, rel. 44; 2θ 32.50, rel. 100; 2θ 34.89, rel. 21; 2θ 38.59, rel. 21; 2θ 43.79, rel. 10; 2θ 48.85, rel. 35; 2θ 55.04, rel. 12; 2θ 56.39, rel. 29; 2θ 61.80, rel. 11; 2θ 64.54, rel. 24; 2θ 66.62, rel. 11; 2θ 74.02, rel. 10



For LiFeF4, a DFT-relaxed cell (PBE+U, the Materials Project) gives the calculated PXRD pattern in this record (Cu Kα).
No peak broadening, texture or thermal motion is included.

Atomic structure:
a = 5.042 Å, b = 5.125 Å, c = 5.130 Å
α = 91.12°, β = 99.18°, γ = 92.42°
Space group P-1 (No. 2)
Asymmetric unit:
Li 0.247 0.478 0.317 x2
Fe 0.219 0.043 0.800 x2
F 0.044 0.762 0.006 x2
F 0.089 0.785 0.509 x2
F 0.400 0.340 0.681 x2
F 0.436 0.143 0.171 x2

Most intense lines, 15 to 90 degrees two-theta, by angle:
2θ 17.32, rel. 100; 2θ 22.97, rel. 37; 2θ 25.07, rel. 21; 2θ 27.08, rel. 32; 2θ 28.70, rel. 16; 2θ 29.13, rel. 35; 2θ 39.56, rel. 25; 2θ 42.63, rel. 35; 2θ 47.03, rel. 17; 2θ 49.98, rel. 21; 2θ 51.49, rel. 16; 2θ 52.12, rel. 14



For Mn2V2O7, a DFT-relaxed cell (PBE+U, the Materials Project) gives the calculated PXRD pattern in this record (Cu Kα).
No peak broadening, texture or thermal motion is included.

Atomic structure:
a = 7.007 Å, b = 8.110 Å, c = 11.051 Å
α = 86.94°, β = 71.52°, γ = 83.68°
Space group P-1 (No. 2)
Asymmetric unit:
Mn 0.082 0.139 0.078 x2
Mn 0.101 0.115 0.585 x2
Mn 0.404 0.406 0.406 x2
Mn 0.416 0.405 0.904 x2
V 0.053 0.596 0.150 x2
V 0.075 0.718 0.636 x2
V 0.432 0.828 0.369 x2
V 0.435 0.851 0.871 x2
O 0.002 0.388 0.206 x2
O 0.027 0.714 0.276 x2
O 0.054 0.907 0.715 x2
O 0.121 0.331 0.929 x2
O 0.122 0.306 0.423 x2
O 0.180 0.889 0.467 x2
O 0.188 0.914 0.964 x2
O 0.302 0.594 0.560 x2
O 0.307 0.579 0.054 x2
O 0.396 0.181 0.043 x2
O 0.400 0.183 0.545 x2
O 0.448 0.676 0.786 x2
O 0.454 0.643 0.293 x2
O 0.488 0.983 0.247 x2

Most intense lines, 15 to 90 degrees two-theta, by angle:
2θ 16.92, rel. 10; 2θ 26.99, rel. 100; 2θ 27.63, rel. 88; 2θ 28.20, rel. 63; 2θ 33.32, rel. 17; 2θ 34.23, rel. 13; 2θ 36.42, rel. 10; 2θ 41.48, rel. 14; 2θ 44.87, rel. 11; 2θ 44.99, rel. 11; 2θ 52.56, rel. 20; 2θ 54.16, rel. 12



For LiNi2P2O9, a DFT-relaxed cell (PBE+U, the Materials Project) gives the calculated PXRD pattern in this record (Cu Kα).
No peak broadening, texture or thermal motion is included.

Atomic structure:
a = 13.853 Å, b = 6.258 Å, c = 7.437 Å
α = 90.00°, β = 90.00°, γ = 90.00°
Space group Pnma (No. 62)
Asymmetric unit:
Li 0.222 0.250 0.061 x4
Ni 0.000 0.000 0.000 x4
Ni 0.120 0.250 0.652 x4
P 0.065 0.750 0.637 x4
P 0.196 0.750 0.101 x4
O 0.002 0.750 0.469 x4
O 0.006 0.750 0.814 x4
O 0.044 0.250 0.864 x4
O 0.138 0.543 0.081 x8
O 0.138 0.562 0.636 x8
O 0.217 0.250 0.462 x4
O 0.245 0.250 0.781 x4

Most intense lines, 15 to 90 degrees two-theta, by angle:
2θ 17.50, rel. 99; 2θ 18.53, rel. 43; 2θ 19.62, rel. 58; 2θ 22.62, rel. 62; 2θ 24.79, rel. 100; 2θ 28.49, rel. 45; 2θ 30.87, rel. 37; 2θ 31.69, rel. 95; 2θ 34.55, rel. 36; 2θ 36.80, rel. 45; 2θ 37.54, rel. 32; 2θ 57.97, rel. 35